[1]
Cd2Ag: simulated powder diffractogram (Cu Ka), based on a crystal structure in OQMD, relaxed with PBE.
Lines closer than 0.1° are merged.

Peak list (8 most intense, 15° ≤ 2θ ≤ 90°, sorted by position)
| two_theta | intensity |
| --- | --- |
| 33.6 | 25 |
| 37.3 | 25 |
| 38.6 | 100 |
| 51.1 | 14 |
| 60.1 | 17 |
| 68.2 | 17 |
| 72.9 | 19 |
| 73.8 | 14 |

Cell and atoms:
Cell: 5.3298 5.3298 4.8199 Å, 90.00 90.00 120.00°
Sites, in units of the cell vectors:
1 Cd 0.0000 0.0000 0.0000
2 Cd 0.0000 0.3391 0.5000
3 Cd 0.3391 0.0000 0.5000
4 Cd 0.6609 0.6609 0.5000
5 Ag 0.3333 0.6667 0.0000
6 Ag 0.6667 0.3333 0.0000



[2]
ZnAu17: simulated powder diffractogram (Cu Ka), based on a crystal structure in OQMD, relaxed with PBE.
Lines closer than 0.1° are merged.

Peak list (8 most intense, 15° ≤ 2θ ≤ 90°, sorted by position)
| two_theta | intensity |
| --- | --- |
| 35.5 | 43 |
| 37.2 | 39 |
| 38.1 | 100 |
| 38.3 | 38 |
| 42.7 | 40 |
| 44.2 | 42 |
| 44.5 | 21 |
| 64.7 | 26 |

Cell and atoms:
Cell: 4.9800 5.8092 35.4369 Å, 90.00 90.02 90.00°
Sites, in units of the cell vectors:
1 Zn 0.1671 0.2500 0.2775
2 Zn 0.8329 0.7500 0.7225
3 Au 0.0000 0.0000 0.0000
4 Au 0.0000 0.5000 0.0000
5 Au 0.0008 0.0015 0.2093
6 Au 0.0008 0.4985 0.2093
7 Au 0.1663 0.7500 0.0697
8 Au 0.1669 0.2500 0.0696
9 Au 0.1669 0.2500 0.8607
10 Au 0.1669 0.7500 0.2793
11 Au 0.1665 0.7500 0.8607
12 Au 0.3332 0.0000 0.1393
13 Au 0.3334 0.9998 0.9304
14 Au 0.3332 0.5000 0.1393
15 Au 0.3334 0.5002 0.9304
16 Au 0.3336 0.5051 0.7205
17 Au 0.3336 0.9949 0.7205
18 Au 0.4971 0.2500 0.2091
19 Au 0.4986 0.2500 0.7914
20 Au 0.5000 0.2500 0.0000
21 Au 0.5000 0.7500 0.0000
22 Au 0.5014 0.7500 0.2086
23 Au 0.5029 0.7500 0.7909
24 Au 0.6664 0.0051 0.2795
25 Au 0.6664 0.4949 0.2795
26 Au 0.6666 0.0002 0.0696
27 Au 0.6668 0.0000 0.8607
28 Au 0.6666 0.4998 0.0696
29 Au 0.6668 0.5000 0.8607
30 Au 0.8335 0.2500 0.1393
31 Au 0.8331 0.2500 0.7207
32 Au 0.8331 0.7500 0.1393
33 Au 0.8331 0.7500 0.9304
34 Au 0.8337 0.2500 0.9303
35 Au 0.9992 0.5015 0.7907
36 Au 0.9992 0.9985 0.7907



[3]
NaSrTaPd: simulated powder diffractogram (Cu Ka), based on a crystal structure in OQMD, relaxed with PBE.
Lines closer than 0.1° are merged.

Peak list (8 most intense, 15° ≤ 2θ ≤ 90°, sorted by position)
| two_theta | intensity |
| --- | --- |
| 21.6 | 22 |
| 25.0 | 14 |
| 35.6 | 100 |
| 42.0 | 12 |
| 51.2 | 18 |
| 63.9 | 36 |
| 75.4 | 11 |
| 86.2 | 16 |

Cell and atoms:
Cell: 5.0438 5.0438 5.0438 Å, 60.00 60.00 60.00°
Sites, in units of the cell vectors:
1 Na 0.0000 0.0000 0.0000
2 Sr 0.7500 0.7500 0.7500
3 Ta 0.2500 0.2500 0.2500
4 Pd 0.5000 0.5000 0.5000



[4]
BeFe2Pb: simulated powder diffractogram (Cu Ka), based on a crystal structure in OQMD, relaxed with PBE.
Lines closer than 0.1° are merged.

Peak list (8 most intense, 15° ≤ 2θ ≤ 90°, sorted by position)
| two_theta | intensity |
| --- | --- |
| 25.0 | 31 |
| 29.0 | 20 |
| 32.5 | 76 |
| 41.5 | 100 |
| 44.1 | 30 |
| 62.1 | 24 |
| 68.1 | 19 |
| 75.6 | 24 |

Cell and atoms:
Cell: 6.1588 6.1588 6.1588 Å, 90.00 90.00 90.00°
Sites, in units of the cell vectors:
1 Be 0.0000 0.0000 0.0000
2 Be 0.0000 0.0000 0.5000
3 Be 0.0000 0.5000 0.0000
4 Be 0.5000 0.0000 0.0000
5 Fe 0.2013 0.2013 0.2013
6 Fe 0.2013 0.2013 0.7987
7 Fe 0.2013 0.7987 0.2013
8 Fe 0.2013 0.7987 0.7987
9 Fe 0.7987 0.2013 0.2013
10 Fe 0.7987 0.2013 0.7987
11 Fe 0.7987 0.7987 0.2013
12 Fe 0.7987 0.7987 0.7987
13 Pb 0.0000 0.5000 0.5000
14 Pb 0.5000 0.0000 0.5000
15 Pb 0.5000 0.5000 0.0000
16 Pb 0.5000 0.5000 0.5000



[5]
Zr2AlGaPd4: simulated powder diffractogram (Cu Ka), based on a crystal structure in OQMD, relaxed with PBE.
Lines closer than 0.1° are merged.

Peak list (8 most intense, 15° ≤ 2θ ≤ 90°, sorted by position)
| two_theta | intensity |
| --- | --- |
| 23.7 | 30 |
| 39.6 | 100 |
| 41.7 | 77 |
| 58.8 | 30 |
| 70.3 | 10 |
| 74.7 | 29 |
| 76.1 | 12 |
| 80.3 | 11 |

Cell and atoms:
Cell: 4.3325 4.3325 8.5994 Å, 90.00 90.00 120.00°
Sites, in units of the cell vectors:
1 Zr 0.3333 0.6667 0.2506
2 Zr 0.6667 0.3333 0.7494
3 Al 0.0000 0.0000 0.0000
4 Ga 0.0000 0.0000 0.5000
5 Pd 0.3333 0.6667 0.5870
6 Pd 0.3333 0.6667 0.9153
7 Pd 0.6667 0.3333 0.0847
8 Pd 0.6667 0.3333 0.4130



[6]
BaSrFe3: simulated powder diffractogram (Cu Ka), based on a crystal structure in OQMD, relaxed with PBE.
Lines closer than 0.1° are merged.

Peak list (8 most intense, 15° ≤ 2θ ≤ 90°, sorted by position)
| two_theta | intensity |
| --- | --- |
| 25.1 | 31 |
| 27.0 | 100 |
| 29.5 | 43 |
| 32.0 | 81 |
| 39.1 | 71 |
| 44.2 | 78 |
| 54.0 | 44 |
| 67.2 | 24 |

Cell and atoms:
Cell: 4.0955 4.0955 9.0950 Å, 90.00 90.00 120.00°
Sites, in units of the cell vectors:
1 Ba 0.0000 0.0000 0.0000
2 Sr 0.6667 0.3333 0.4235
3 Fe 0.0000 0.0000 0.6610
4 Fe 0.3333 0.6667 0.7027
5 Fe 0.6667 0.3333 0.7478



[7]
Ho2CoSi4Ir: simulated powder diffractogram (Cu Ka), based on a crystal structure in OQMD, relaxed with PBE.
Lines closer than 0.1° are merged.

Peak list (8 most intense, 15° ≤ 2θ ≤ 90°, sorted by position)
| two_theta | intensity |
| --- | --- |
| 21.4 | 36 |
| 30.9 | 44 |
| 31.8 | 100 |
| 34.9 | 75 |
| 35.4 | 68 |
| 39.4 | 32 |
| 44.8 | 31 |
| 58.2 | 34 |

Cell and atoms:
Cell: 4.0302 8.5619 8.5619 Å, 27.33 90.00 90.00°
Sites, in units of the cell vectors:
1 Ho 0.0000 0.0000 0.0000
2 Ho 0.5000 0.2107 0.2107
3 Co 0.0000 0.7803 0.7803
4 Si 0.0000 0.3461 0.3461
5 Si 0.0000 0.6475 0.6475
6 Si 0.5000 0.5686 0.5686
7 Si 0.5000 0.8463 0.8463
8 Ir 0.5000 0.4274 0.4274



[8]
Pr2CuSi2Au: simulated powder diffractogram (Cu Ka), based on a crystal structure in OQMD, relaxed with PBE.
Lines closer than 0.1° are merged.

Peak list (8 most intense, 15° ≤ 2θ ≤ 90°, sorted by position)
| two_theta | intensity |
| --- | --- |
| 23.9 | 14 |
| 26.3 | 31 |
| 32.4 | 100 |
| 42.1 | 43 |
| 43.8 | 12 |
| 54.1 | 27 |
| 62.4 | 26 |
| 70.9 | 21 |

Cell and atoms:
Cell: 4.2913 4.2913 8.2610 Å, 90.00 90.00 120.00°
Sites, in units of the cell vectors:
1 Pr 0.0000 0.0000 0.2425
2 Pr 0.0000 0.0000 0.7575
3 Cu 0.3333 0.6667 0.0000
4 Si 0.3333 0.6667 0.5000
5 Si 0.6667 0.3333 0.0000
6 Au 0.6667 0.3333 0.5000



[9]
Gd2Pt8N: simulated powder diffractogram (Cu Ka), based on a crystal structure in OQMD, relaxed with PBE.
Lines closer than 0.1° are merged.

Peak list (8 most intense, 15° ≤ 2θ ≤ 90°, sorted by position)
| two_theta | intensity |
| --- | --- |
| 17.2 | 15 |
| 33.0 | 15 |
| 38.2 | 100 |
| 39.0 | 42 |
| 39.9 | 14 |
| 40.6 | 30 |
| 41.2 | 40 |
| 73.0 | 21 |

Cell and atoms:
Cell: 4.3854 8.5821 8.5821 Å, 143.15 90.00 90.00°
Sites, in units of the cell vectors:
1 Gd 0.0000 0.1239 0.8761
2 Gd 0.0000 0.8761 0.1239
3 Pt 0.0000 0.3004 0.6939
4 Pt 0.0000 0.5718 0.5718
5 Pt 0.0000 0.6939 0.3004
6 Pt 0.5000 0.3682 0.5685
7 Pt 0.5000 0.5113 0.9969
8 Pt 0.5000 0.5685 0.3682
9 Pt 0.5000 0.8931 0.8931
10 Pt 0.5000 0.9969 0.5113
11 N 0.5000 0.2509 0.2509



[10]
SmTlSbTe3: simulated powder diffractogram (Cu Ka), based on a crystal structure in OQMD, relaxed with PBE.
Lines closer than 0.1° are merged.

Peak list (8 most intense, 15° ≤ 2θ ≤ 90°, sorted by position)
| two_theta | intensity |
| --- | --- |
| 27.3 | 82 |
| 30.4 | 100 |
| 30.6 | 51 |
| 35.0 | 30 |
| 37.8 | 31 |
| 40.1 | 29 |
| 47.2 | 28 |
| 51.3 | 26 |

Cell and atoms:
Cell: 8.1365 8.1365 11.6692 Å, 90.00 90.00 147.94°
Sites, in units of the cell vectors:
1 Sm 0.0000 0.0000 0.0000
2 Sm 0.0000 0.0000 0.5000
3 Tl 0.2346 0.7654 0.7500
4 Tl 0.7654 0.2346 0.2500
5 Sb 0.4562 0.5438 0.2500
6 Sb 0.5438 0.4562 0.7500
7 Te 0.1006 0.8994 0.2500
8 Te 0.3582 0.6418 0.0319
9 Te 0.3582 0.6418 0.4681
10 Te 0.6418 0.3582 0.5319
11 Te 0.6418 0.3582 0.9681
12 Te 0.8994 0.1006 0.7500



[11]
KNbH2Se4: simulated powder diffractogram (Cu Ka), based on a crystal structure in OQMD, relaxed with PBE.
Lines closer than 0.1° are merged.

Peak list (8 most intense, 15° ≤ 2θ ≤ 90°, sorted by position)
| two_theta | intensity |
| --- | --- |
| 16.0 | 20 |
| 23.5 | 22 |
| 27.5 | 100 |
| 27.8 | 75 |
| 42.9 | 39 |
| 45.2 | 20 |
| 48.1 | 25 |
| 53.9 | 23 |

Cell and atoms:
Cell: 8.0276 10.0510 10.0510 Å, 146.62 90.00 90.00°
Sites, in units of the cell vectors:
1 K 0.2500 0.1530 0.8470
2 K 0.7500 0.8470 0.1530
3 Nb 0.2500 0.0882 0.2992
4 Nb 0.7500 0.2992 0.0882
5 H 0.0000 0.4249 0.4249
6 H 0.2500 0.5648 0.8976
7 H 0.5000 0.4249 0.4249
8 H 0.7500 0.8976 0.5648
9 Se 0.0032 0.3455 0.5306
10 Se 0.2500 0.7247 0.1529
11 Se 0.2500 0.9277 0.9544
12 Se 0.4968 0.3455 0.5306
13 Se 0.5032 0.5306 0.3455
14 Se 0.7500 0.1529 0.7247
15 Se 0.7500 0.9544 0.9277
16 Se 0.9968 0.5306 0.3455



[12]
NdH3Pd: simulated powder diffractogram (Cu Ka), based on a crystal structure in OQMD, relaxed with PBE.
Lines closer than 0.1° are merged.

Peak list (8 most intense, 15° ≤ 2θ ≤ 90°, sorted by position)
| two_theta | intensity |
| --- | --- |
| 29.9 | 81 |
| 30.2 | 51 |
| 30.5 | 55 |
| 32.3 | 27 |
| 36.5 | 100 |
| 37.9 | 51 |
| 46.7 | 25 |
| 60.7 | 27 |

Cell and atoms:
Cell: 6.2487 6.2487 4.9369 Å, 93.36 93.36 36.26°
Sites, in units of the cell vectors:
1 Nd 0.0000 0.0000 0.0000
2 Nd 0.7312 0.7312 0.5032
3 H 0.1629 0.1629 0.7391
4 H 0.1732 0.1732 0.2695
5 H 0.3780 0.3780 0.7701
6 H 0.5608 0.5608 0.2300
7 H 0.7864 0.7864 0.0201
8 H 0.9469 0.9469 0.4855
9 Pd 0.2750 0.2750 0.0107
10 Pd 0.4466 0.4466 0.4662